This entry pairs a crystal structure of HoZrF7 with its computed powder X-ray diffraction pattern. Radiation: a wavelength of 1.5418 Å. Structure: a crystal structure in Alexandria, relaxed with GGA-PBE.

Atomic structure:
a = 6.0820 Å, b = 5.8303 Å, c = 8.3033 Å
α = 90.00°, β = 103.28°, γ = 90.00°
Element x y z (fractional)
Ho (0.1505, 0.0000, 0.1876)
Ho (0.8495, 0.5000, 0.8124)
Zr (0.3184, 0.0033, 0.7260)
Zr (0.6816, 0.5033, 0.2740)
F (0.0158, 0.7324, 0.0071)
F (0.0788, 0.7532, 0.7074)
F (0.0931, 0.2680, 0.7087)
F (0.2686, 0.0007, 0.4750)
F (0.3633, 0.0039, 0.9759)
F (0.4271, 0.2660, 0.2548)
F (0.4301, 0.7418, 0.2598)
F (0.5699, 0.2418, 0.7402)
F (0.5729, 0.7660, 0.7452)
F (0.6367, 0.5039, 0.0241)
F (0.7314, 0.5007, 0.5250)
F (0.9069, 0.7680, 0.2913)
F (0.9212, 0.2532, 0.2926)
F (0.9842, 0.2324, 0.9929)

Top 12 peaks for 2θ from 5° to 70°, in order of rising 2θ:
2theta, I_rel
21.39, 100
22.00, 36
22.43, 14
25.65, 28
26.85, 15
28.22, 31
30.67, 12
43.19, 18
45.83, 15
46.89, 16
47.49, 15
51.03, 15

=====

This entry pairs a crystal structure of IF7 with its computed powder X-ray diffraction pattern. Radiation: a wavelength of 1.5418 Å. Structure: a crystal structure in Alexandria, relaxed with GGA-PBE.

Atomic structure:
a = 9.0836 Å, b = 5.5387 Å, c = 5.5387 Å
α = 111.03°, β = 90.00°, γ = 90.00°
Element x y z (fractional)
I (0.0000, 0.0000, 0.0000)
I (0.5000, 0.5000, 0.5000)
F (0.0000, 0.6967, 0.6967)
F (0.0904, 0.3295, 0.1614)
F (0.1075, 0.0770, 0.7414)
F (0.1643, 0.8759, 0.1151)
F (0.3357, 0.3759, 0.6151)
F (0.3925, 0.5770, 0.2414)
F (0.4096, 0.8295, 0.6614)
F (0.5000, 0.1967, 0.1967)
F (0.5904, 0.6614, 0.8295)
F (0.6075, 0.2414, 0.5770)
F (0.6643, 0.6151, 0.3759)
F (0.8357, 0.1151, 0.8759)
F (0.8925, 0.7414, 0.0770)
F (0.9096, 0.1614, 0.3295)

Top 12 peaks for 2θ from 5° to 70°, in order of rising 2θ:
2theta, I_rel
19.44, 26
19.55, 27
19.76, 100
27.71, 22
28.46, 8
34.20, 7
34.32, 8
34.73, 8
40.14, 7
44.60, 19
45.62, 12
54.21, 10

=====

This entry pairs a crystal structure of IF7 with its computed powder X-ray diffraction pattern. Radiation: a wavelength of 1.5418 Å. Structure: a crystal structure in Alexandria, relaxed with GGA-PBE.

Atomic structure:
a = 7.9735 Å, b = 8.2634 Å, c = 8.0564 Å
α = 90.00°, β = 90.00°, γ = 90.00°
Element x y z (fractional)
I (0.2387, 0.0000, 0.0000)
I (0.2595, 0.5000, 0.5000)
I (0.7405, 0.5000, 0.0000)
I (0.7613, 0.0000, 0.5000)
F (0.0453, 0.1110, 0.9182)
F (0.0453, 0.8890, 0.0818)
F (0.0666, 0.3946, 0.4121)
F (0.0666, 0.6054, 0.5879)
F (0.2665, 0.4052, 0.7084)
F (0.2665, 0.5948, 0.2916)
F (0.2801, 0.2178, 0.0521)
F (0.2801, 0.7822, 0.9479)
F (0.2812, 0.0245, 0.7721)
F (0.2812, 0.9755, 0.2279)
F (0.3293, 0.2942, 0.4211)
F (0.3293, 0.7058, 0.5789)
F (0.4748, 0.0000, 0.0000)
F (0.4982, 0.5000, 0.5000)
F (0.5018, 0.5000, 0.0000)
F (0.5252, 0.0000, 0.5000)
F (0.6707, 0.2942, 0.0789)
F (0.6707, 0.7058, 0.9211)
F (0.7188, 0.0245, 0.7279)
F (0.7188, 0.9755, 0.2721)
F (0.7199, 0.2178, 0.4479)
F (0.7199, 0.7822, 0.5521)
F (0.7335, 0.4052, 0.7916)
F (0.7335, 0.5948, 0.2084)
F (0.9334, 0.3946, 0.0879)
F (0.9334, 0.6054, 0.9121)
F (0.9547, 0.1110, 0.5818)
F (0.9547, 0.8890, 0.4182)

Top 12 peaks for 2θ from 5° to 70°, in order of rising 2θ:
2theta, I_rel
18.99, 100
21.51, 17
22.07, 18
22.30, 15
31.01, 6
31.18, 6
36.26, 8
36.96, 10
37.25, 9
48.95, 5
49.54, 7
50.82, 7

=====

This entry pairs a crystal structure of IF4 with its computed powder X-ray diffraction pattern. Radiation: a wavelength of 1.5418 Å. Structure: a crystal structure in Alexandria, relaxed with GGA-PBE.

Atomic structure:
a = 4.6240 Å, b = 4.6240 Å, c = 7.9515 Å
α = 90.00°, β = 90.00°, γ = 101.97°
Element x y z (fractional)
I (0.2356, 0.7644, 0.7500)
I (0.7644, 0.2356, 0.2500)
F (0.2389, 0.3293, 0.7500)
F (0.2653, 0.7347, 0.5066)
F (0.2653, 0.7347, 0.9934)
F (0.3293, 0.2389, 0.2500)
F (0.6707, 0.7611, 0.7500)
F (0.7347, 0.2653, 0.0066)
F (0.7347, 0.2653, 0.4934)
F (0.7611, 0.6707, 0.2500)

Top 12 peaks for 2θ from 5° to 70°, in order of rising 2θ:
2theta, I_rel
22.36, 24
22.61, 100
24.78, 20
30.71, 11
39.40, 21
39.86, 24
42.36, 15
45.64, 9
46.18, 12
50.02, 10
60.54, 9
62.17, 12

=====

This entry pairs a crystal structure of IF4 with its computed powder X-ray diffraction pattern. Radiation: a wavelength of 1.5418 Å. Structure: a crystal structure in Alexandria, relaxed with GGA-PBE.

Atomic structure:
a = 7.6481 Å, b = 6.4594 Å, c = 5.9733 Å
α = 75.82°, β = 54.97°, γ = 49.22°
Element x y z (fractional)
I (0.1250, 0.1250, 0.1250)
I (0.8750, 0.8750, 0.8750)
F (0.0232, 0.4761, 0.2275)
F (0.2268, 0.7725, 0.5239)
F (0.2275, 0.7732, 0.0232)
F (0.4761, 0.0232, 0.7732)
F (0.5239, 0.9768, 0.2268)
F (0.7725, 0.2268, 0.9768)
F (0.7732, 0.2275, 0.4761)
F (0.9768, 0.5239, 0.7725)

Top 12 peaks for 2θ from 5° to 70°, in order of rising 2θ:
2theta, I_rel
18.55, 100
23.39, 50
29.03, 25
30.98, 28
33.13, 20
35.05, 23
38.40, 12
43.36, 8
47.03, 37
48.99, 13
51.46, 14
65.47, 9

=====

This entry pairs a crystal structure of InIO4F with its computed powder X-ray diffraction pattern. Radiation: a wavelength of 1.5418 Å. Structure: a crystal structure in Alexandria, relaxed with GGA-PBE.

Atomic structure:
a = 5.8613 Å, b = 5.8613 Å, c = 7.6333 Å
α = 105.64°, β = 105.64°, γ = 75.38°
Element x y z (fractional)
In (0.1318, 0.1318, 0.2162)
In (0.8682, 0.8682, 0.7838)
I (0.3741, 0.3741, 0.6418)
I (0.6259, 0.6259, 0.3582)
O (0.1623, 0.1623, 0.5144)
O (0.1872, 0.5804, 0.7998)
O (0.3835, 0.3835, 0.3680)
O (0.4196, 0.8128, 0.2002)
O (0.5804, 0.1872, 0.7998)
O (0.6165, 0.6165, 0.6320)
O (0.8128, 0.4196, 0.2002)
O (0.8377, 0.8377, 0.4856)
F (0.1120, 0.1120, 0.9297)
F (0.8880, 0.8880, 0.0703)

Top 12 peaks for 2θ from 5° to 70°, in order of rising 2θ:
2theta, I_rel
17.99, 40
19.90, 100
24.84, 98
27.31, 38
32.03, 33
32.54, 17
37.25, 19
37.59, 45
41.41, 27
48.89, 32
51.51, 21
52.61, 22

=====

This entry pairs a crystal structure of ZnInI2F with its computed powder X-ray diffraction pattern. Radiation: a wavelength of 1.5418 Å. Structure: a crystal structure in Alexandria, relaxed with GGA-PBE.

Atomic structure:
a = 5.8206 Å, b = 5.8206 Å, c = 4.0721 Å
α = 90.00°, β = 90.00°, γ = 90.00°
Element x y z (fractional)
Zn (0.0000, 0.0000, 0.0000)
In (0.5000, 0.5000, 0.5000)
I (0.0000, 0.5000, 0.0000)
I (0.5000, 0.0000, 0.0000)
F (0.0000, 0.0000, 0.5000)

Top 12 peaks for 2θ from 5° to 70°, in order of rising 2θ:
2theta, I_rel
21.83, 19
26.72, 38
30.72, 100
30.89, 93
38.00, 18
41.16, 24
44.00, 36
44.50, 18
54.73, 35
55.04, 37
63.98, 11
64.37, 23

=====

This entry pairs a crystal structure of K3IF4 with its computed powder X-ray diffraction pattern. Radiation: a wavelength of 1.5418 Å. Structure: a crystal structure in Alexandria, relaxed with GGA-PBE.

Atomic structure:
a = 5.6572 Å, b = 8.7609 Å, c = 8.7198 Å
α = 90.00°, β = 90.00°, γ = 90.00°
Element x y z (fractional)
K (0.2500, 0.0167, 0.2077)
K (0.2500, 0.2500, 0.6535)
K (0.2500, 0.4833, 0.2077)
K (0.7500, 0.5167, 0.7923)
K (0.7500, 0.7500, 0.3465)
K (0.7500, 0.9833, 0.7923)
I (0.2500, 0.7500, 0.8702)
I (0.7500, 0.2500, 0.1298)
F (0.2500, 0.2500, 0.3737)
F (0.2500, 0.5059, 0.8696)
F (0.2500, 0.7500, 0.3066)
F (0.2500, 0.9941, 0.8696)
F (0.7500, 0.0059, 0.1304)
F (0.7500, 0.2500, 0.6934)
F (0.7500, 0.4941, 0.1304)
F (0.7500, 0.7500, 0.6263)

Top 12 peaks for 2θ from 5° to 70°, in order of rising 2θ:
2theta, I_rel
10.14, 80
14.33, 34
18.68, 37
20.33, 42
21.29, 100
22.78, 84
25.80, 33
27.71, 75
31.63, 74
33.03, 35
39.34, 39
52.87, 32